# 1
For Cd3AsH2Pd6, a crystal structure in Alexandria, relaxed with GGA-PBE gives the computed XRD peak list in this record (Cu Kα (weighted mean of Kα1 and Kα2)).

Largest 6 diffraction maxima, by angle, 10° ≤ 2θ ≤ 80°:
d (Å)	intensity
7.895	41
3.947	24
2.344	100
2.302	24
2.084	59
1.417	22

Structural model:
```
data_Cd3AsH2Pd6
_cell_length_a 5.668
_cell_length_b 5.668
_cell_length_c 7.895
_cell_angle_alpha 90.00
_cell_angle_beta 90.00
_cell_angle_gamma 120.00
_space_group_name_H-M_alt 'P 1'
_space_group_IT_number 1
loop_
_space_group_symop_operation_xyz
'x,y,z'
loop_
_atom_site_label
_atom_site_type_symbol
_atom_site_fract_x
_atom_site_fract_y
_atom_site_fract_z
_atom_site_occupancy
Cd1 Cd 0.000 0.000 0.000 1
Cd2 Cd 0.333 0.667 0.633 1
Cd3 Cd 0.667 0.333 0.367 1
As1 As 0.000 0.000 0.500 1
H1 H 0.333 0.667 0.162 1
H2 H 0.667 0.333 0.838 1
Pd1 Pd 0.172 0.344 0.284 1
Pd2 Pd 0.172 0.828 0.284 1
Pd3 Pd 0.344 0.172 0.716 1
Pd4 Pd 0.656 0.828 0.284 1
Pd5 Pd 0.828 0.172 0.716 1
Pd6 Pd 0.828 0.656 0.716 1
```

---

# 2
For Na5Cd4As4, a crystal structure in Alexandria, relaxed with GGA-PBE gives the computed XRD peak list in this record (Cu Kα (weighted mean of Kα1 and Kα2)).

Largest 6 diffraction maxima, by angle, 10° ≤ 2θ ≤ 80°:
d (Å)	intensity
8.522	82
3.811	18
2.653	100
2.364	23
2.180	18
2.110	28

Structural model:
```
data_Na5Cd4As4
_cell_length_a 8.797
_cell_length_b 8.797
_cell_length_c 8.797
_cell_angle_alpha 93.52
_cell_angle_beta 93.52
_cell_angle_gamma 151.31
_space_group_name_H-M_alt 'P 1'
_space_group_IT_number 1
loop_
_space_group_symop_operation_xyz
'x,y,z'
loop_
_atom_site_label
_atom_site_type_symbol
_atom_site_fract_x
_atom_site_fract_y
_atom_site_fract_z
_atom_site_occupancy
Na1 Na 0.000 0.000 0.000 1
Na2 Na 0.297 0.368 0.665 1
Na3 Na 0.368 0.703 0.071 1
Na4 Na 0.632 0.297 0.929 1
Na5 Na 0.703 0.632 0.335 1
Cd1 Cd 0.112 0.592 0.704 1
Cd2 Cd 0.408 0.112 0.520 1
Cd3 Cd 0.592 0.888 0.480 1
Cd4 Cd 0.888 0.408 0.296 1
As1 As 0.055 0.253 0.308 1
As2 As 0.253 0.945 0.198 1
As3 As 0.747 0.055 0.802 1
As4 As 0.945 0.747 0.692 1
```

---

# 3
For Rb2In3Bi2, a crystal structure in Alexandria, relaxed with GGA-PBE gives the computed XRD peak list in this record (Cu Kα (weighted mean of Kα1 and Kα2)).

Largest 6 diffraction maxima, by angle, 10° ≤ 2θ ≤ 80°:
d (Å)	intensity
5.924	71
3.225	98
3.161	100
2.904	71
2.763	46
2.604	67

Structural model:
```
data_Rb2In3Bi2
_cell_length_a 6.964
_cell_length_b 6.964
_cell_length_c 8.235
_cell_angle_alpha 110.81
_cell_angle_beta 110.81
_cell_angle_gamma 43.92
_space_group_name_H-M_alt 'P 1'
_space_group_IT_number 1
loop_
_space_group_symop_operation_xyz
'x,y,z'
loop_
_atom_site_label
_atom_site_type_symbol
_atom_site_fract_x
_atom_site_fract_y
_atom_site_fract_z
_atom_site_occupancy
Rb1 Rb 0.146 0.146 0.285 1
Rb2 Rb 0.854 0.854 0.715 1
In1 In 0.403 0.403 0.070 1
In2 In 0.500 0.500 0.500 1
In3 In 0.597 0.597 0.930 1
Bi1 Bi 0.159 0.159 0.772 1
Bi2 Bi 0.841 0.841 0.228 1
```

---

# 4
For Dy4Th5, a crystal structure in Alexandria, relaxed with GGA-PBE gives the computed XRD peak list in this record (Cu Kα (weighted mean of Kα1 and Kα2)).

Largest 6 diffraction maxima, by angle, 10° ≤ 2θ ≤ 80°:
d (Å)	intensity
2.910	100
2.898	33
2.524	23
2.514	45
1.784	16
1.519	24

Structural model:
```
data_Dy4Th5
_cell_length_a 6.143
_cell_length_b 6.184
_cell_length_c 7.963
_cell_angle_alpha 75.18
_cell_angle_beta 82.65
_cell_angle_gamma 80.52
_space_group_name_H-M_alt 'P 1'
_space_group_IT_number 1
loop_
_space_group_symop_operation_xyz
'x,y,z'
loop_
_atom_site_label
_atom_site_type_symbol
_atom_site_fract_x
_atom_site_fract_y
_atom_site_fract_z
_atom_site_occupancy
Dy1 Dy 0.056 0.279 0.388 1
Dy2 Dy 0.167 0.833 0.167 1
Dy3 Dy 0.833 0.167 0.833 1
Dy4 Dy 0.944 0.721 0.612 1
Th1 Th 0.282 0.391 0.944 1
Th2 Th 0.395 0.943 0.722 1
Th3 Th 0.500 0.500 0.500 1
Th4 Th 0.605 0.057 0.278 1
Th5 Th 0.718 0.609 0.056 1
```

---

# 5
For ScMnS3, a crystal structure in Alexandria, relaxed with GGA-PBE gives the computed XRD peak list in this record (Cu Kα (weighted mean of Kα1 and Kα2)).

Largest 6 diffraction maxima, by angle, 10° ≤ 2θ ≤ 80°:
d (Å)	intensity
4.583	50
3.353	42
2.747	82
2.291	25
2.106	100
1.812	56

Structural model:
```
data_ScMnS3
_cell_length_a 6.737
_cell_length_b 6.737
_cell_length_c 6.737
_cell_angle_alpha 55.53
_cell_angle_beta 55.53
_cell_angle_gamma 55.53
_space_group_name_H-M_alt 'P 1'
_space_group_IT_number 1
loop_
_space_group_symop_operation_xyz
'x,y,z'
loop_
_atom_site_label
_atom_site_type_symbol
_atom_site_fract_x
_atom_site_fract_y
_atom_site_fract_z
_atom_site_occupancy
Sc1 Sc 0.153 0.153 0.153 1
Sc2 Sc 0.847 0.847 0.847 1
Mn1 Mn 0.342 0.342 0.342 1
Mn2 Mn 0.658 0.658 0.658 1
S1 S 0.065 0.444 0.731 1
S2 S 0.269 0.935 0.556 1
S3 S 0.444 0.731 0.065 1
S4 S 0.556 0.269 0.935 1
S5 S 0.731 0.065 0.444 1
S6 S 0.935 0.556 0.269 1
```

---

# 6
For ErPuTlHg, a crystal structure in Alexandria, relaxed with GGA-PBE gives the computed XRD peak list in this record (Cu Kα (weighted mean of Kα1 and Kα2)).

Largest 6 diffraction maxima, by angle, 10° ≤ 2θ ≤ 80°:
d (Å)	intensity
2.691	100
2.591	46
1.832	17
1.575	19
1.514	36
1.346	11

Structural model:
```
data_ErPuTlHg
_cell_length_a 3.664
_cell_length_b 3.664
_cell_length_c 7.931
_cell_angle_alpha 90.00
_cell_angle_beta 90.00
_cell_angle_gamma 90.00
_space_group_name_H-M_alt 'P 1'
_space_group_IT_number 1
loop_
_space_group_symop_operation_xyz
'x,y,z'
loop_
_atom_site_label
_atom_site_type_symbol
_atom_site_fract_x
_atom_site_fract_y
_atom_site_fract_z
_atom_site_occupancy
Er1 Er 0.000 0.000 0.000 1
Pu1 Pu 0.000 0.000 0.517 1
Tl1 Tl 0.500 0.500 0.248 1
Hg1 Hg 0.500 0.500 0.778 1
```

---

# 7
For Pr4Y5Er4, a crystal structure in Alexandria, relaxed with GGA-PBE gives the computed XRD peak list in this record (Cu Kα (weighted mean of Kα1 and Kα2)).

Largest 6 diffraction maxima, by angle, 10° ≤ 2θ ≤ 80°:
d (Å)	intensity
2.937	100
2.544	50
1.799	36
1.534	42
1.469	12
1.273	4

Structural model:
```
data_Pr4Y5Er4
_cell_length_a 9.522
_cell_length_b 9.522
_cell_length_c 9.522
_cell_angle_alpha 94.08
_cell_angle_beta 94.08
_cell_angle_gamma 149.05
_space_group_name_H-M_alt 'P 1'
_space_group_IT_number 1
loop_
_space_group_symop_operation_xyz
'x,y,z'
loop_
_atom_site_label
_atom_site_type_symbol
_atom_site_fract_x
_atom_site_fract_y
_atom_site_fract_z
_atom_site_occupancy
Pr1 Pr 0.078 0.618 0.697 1
Pr2 Pr 0.382 0.078 0.460 1
Pr3 Pr 0.618 0.922 0.540 1
Pr4 Pr 0.922 0.382 0.303 1
Y1 Y 0.000 0.000 0.000 1
Y2 Y 0.310 0.460 0.770 1
Y3 Y 0.460 0.690 0.150 1
Y4 Y 0.540 0.310 0.850 1
Y5 Y 0.690 0.540 0.230 1
Er1 Er 0.154 0.230 0.384 1
Er2 Er 0.230 0.846 0.076 1
Er3 Er 0.770 0.154 0.924 1
Er4 Er 0.846 0.770 0.616 1
```

---

# 8
For MnPOsRuSeS, a crystal structure in Alexandria, relaxed with GGA-PBE gives the computed XRD peak list in this record (Cu Kα (weighted mean of Kα1 and Kα2)).

Largest 6 diffraction maxima, by angle, 10° ≤ 2θ ≤ 80°:
d (Å)	intensity
4.882	69
4.836	73
2.894	100
2.493	57
2.083	55
1.842	54

Structural model:
```
data_MnPOsRuSeS
_cell_length_a 6.306
_cell_length_b 6.306
_cell_length_c 5.426
_cell_angle_alpha 114.83
_cell_angle_beta 114.83
_cell_angle_gamma 31.48
_space_group_name_H-M_alt 'P 1'
_space_group_IT_number 1
loop_
_space_group_symop_operation_xyz
'x,y,z'
loop_
_atom_site_label
_atom_site_type_symbol
_atom_site_fract_x
_atom_site_fract_y
_atom_site_fract_z
_atom_site_occupancy
Mn1 Mn 0.000 0.000 0.000 1
P1 P 0.795 0.795 0.823 1
Os1 Os 0.620 0.620 0.397 1
Ru1 Ru 0.373 0.373 0.141 1
Se1 Se 0.003 0.003 0.553 1
S1 S 0.201 0.201 0.235 1
```